This entry pairs a crystal structure of LuSc2In with its calculated PXRD pattern. Radiation: Cu Ka. Structure: a GGA-PBE-relaxed structure.
Intensities are scaled so that the largest is 100.

Lattice parameters (Å, degrees): 4.5971 4.5971 4.6021 90.00 90.00 90.00
Space group P4/mmm (No. 123)
Inequivalent atoms, fractional coordinates:
Lu1 0.0000 0.0000 0.0000 [1 per cell]
Sc1 0.0000 0.5000 0.5000 [2 per cell]
In1 0.5000 0.5000 0.0000 [1 per cell]

Most intense lines, 10° ≤ 2θ ≤ 90°, low angle first:
2θ/deg  I (rel.)  h k l
19.29  30.9  0 0 1
27.44  27.0  1 1 0
33.76  100.0  1 1 1
39.18  49.5  2 0 0
44.04  15.8  2 0 1
48.47  12.1  1 1 2
56.61  32.8  2 2 0
60.39  8.0  2 2 1
67.56  37.9  3 1 1
71.00  10.9  2 2 2